For Li2FeSi6O15, DFT lattice parameters and positions (GGA+U) gives the simulated powder XRD pattern in this record (CuKα).
No peak broadening, texture or thermal motion is included.

Cell and atoms:
Cell: 7.451 7.451 14.841 Å, 99.76 99.76 58.31°
Positions (direct):
Li (0.015, 0.985, 0.500)
Li (0.349, 0.650, 0.610)
Li (0.650, 0.349, 0.110)
Li (0.985, 0.015, 0.000)
Fe (0.418, 0.930, 0.553)
Fe (0.930, 0.418, 0.053)
Si (0.059, 0.158, 0.703)
Si (0.065, 0.699, 0.202)
Si (0.143, 0.263, 0.407)
Si (0.158, 0.059, 0.203)
Si (0.263, 0.143, 0.907)
Si (0.324, 0.532, 0.399)
Si (0.532, 0.324, 0.899)
Si (0.618, 0.667, 0.885)
Si (0.625, 0.787, 0.193)
Si (0.667, 0.618, 0.385)
Si (0.699, 0.065, 0.702)
Si (0.787, 0.625, 0.693)
O (0.004, 0.392, 0.682)
O (0.112, 0.508, 0.123)
O (0.126, 0.126, 0.311)
O (0.126, 0.126, 0.811)
O (0.137, 0.160, 0.991)
O (0.147, 0.843, 0.170)
O (0.160, 0.137, 0.491)
O (0.183, 0.620, 0.302)
O (0.233, 0.703, 0.486)
O (0.236, 0.959, 0.642)
O (0.311, 0.334, 0.911)
O (0.334, 0.311, 0.411)
O (0.392, 0.004, 0.182)
O (0.467, 0.570, 0.890)
O (0.490, 0.921, 0.916)
O (0.508, 0.112, 0.623)
O (0.553, 0.847, 0.446)
O (0.570, 0.467, 0.390)
O (0.619, 0.660, 0.601)
O (0.620, 0.183, 0.802)
O (0.632, 0.668, 0.278)
O (0.660, 0.619, 0.101)
O (0.668, 0.632, 0.778)
O (0.703, 0.233, 0.986)
O (0.806, 0.853, 0.211)
O (0.843, 0.147, 0.670)
O (0.847, 0.553, 0.946)
O (0.853, 0.806, 0.711)
O (0.921, 0.490, 0.416)
O (0.959, 0.236, 0.142)

The 6 most intense peaks (5 to 70 degrees two-theta), in order of falling intensity:
| d/Å | two_theta | intensity |
| --- | --- | --- |
| 6.383 | 13.87 | 100.0 |
| 6.005 | 14.75 | 89.8 |
| 4.039 | 22.01 | 52.9 |
| 4.557 | 19.48 | 46.4 |
| 3.193 | 27.94 | 38.6 |
| 5.013 | 17.69 | 27.5 |